Entry 1:
Diffraction record for Pm2Ag4S5. The powder XRD pattern is theoretical, not measured: it uses a crystal structure in Alexandria, relaxed with GGA-PBE and Cu Kα, 1.54184 Å.
Peak positions follow from Bragg's law for the DFT cell and can differ from measured ones.

Structural model:
```
data_Pm2Ag4S5
_chemical_formula_sum 'Pm2 Ag4 S5'
_space_group_name_H-M_alt 'P 1'
_space_group_IT_number 1
_space_group_name_Hall 'P 1'
_cell_length_a 17.5490
_cell_length_b 17.5490
_cell_length_c 17.5490
_cell_angle_alpha 13.51
_cell_angle_beta 13.51
_cell_angle_gamma 13.51
loop_
_atom_site_label
_atom_site_type_symbol
_atom_site_fract_x
_atom_site_fract_y
_atom_site_fract_z
Pm1 Pm 0.1349 0.1349 0.1349
Pm2 Pm 0.8651 0.8651 0.8651
Ag1 Ag 0.3079 0.3079 0.3079
Ag2 Ag 0.4143 0.4143 0.4143
Ag3 Ag 0.5857 0.5857 0.5857
Ag4 Ag 0.6921 0.6921 0.6921
S1 S 0.2276 0.2276 0.2276
S2 S 0.3673 0.3673 0.3673
S3 S 0.5000 0.5000 0.5000
S4 S 0.6327 0.6327 0.6327
S5 S 0.7724 0.7724 0.7724
```

Top 10 peaks for 2θ = 10–90°, in order of rising 2θ:
d [Å], Rel. int.
3.449, 42
3.224, 51
2.898, 30
2.855, 100
2.580, 14
2.065, 63
1.976, 28
1.682, 35
1.673, 20
1.300, 17

Entry 2:
Diffraction record for Pm2AgS3. The powder XRD pattern is theoretical, not measured: it uses a crystal structure in Alexandria, relaxed with GGA-PBE and Cu Kα, 1.54184 Å.
Peak positions follow from Bragg's law for the DFT cell and can differ from measured ones.

Structural model:
```
data_Pm2AgS3
_chemical_formula_sum 'Pm4 Ag2 S6'
_space_group_name_H-M_alt 'P 1'
_space_group_IT_number 1
_space_group_name_Hall 'P 1'
_cell_length_a 3.7175
_cell_length_b 4.6099
_cell_length_c 15.8241
_cell_angle_alpha 90.00
_cell_angle_beta 90.00
_cell_angle_gamma 90.00
loop_
_atom_site_label
_atom_site_type_symbol
_atom_site_fract_x
_atom_site_fract_y
_atom_site_fract_z
Pm1 Pm 0.0000 0.0000 0.1427
Pm2 Pm 0.0000 0.0000 0.8573
Pm3 Pm 0.5000 0.5000 0.3573
Pm4 Pm 0.5000 0.5000 0.6427
Ag1 Ag 0.0000 0.0000 0.5000
Ag2 Ag 0.5000 0.5000 0.0000
S1 S 0.0000 0.0000 0.3215
S2 S 0.0000 0.0000 0.6785
S3 S 0.0000 0.5000 0.5000
S4 S 0.5000 0.0000 0.0000
S5 S 0.5000 0.5000 0.1785
S6 S 0.5000 0.5000 0.8215
```

Top 10 peaks for 2θ = 10–90°, in order of rising 2θ:
d [Å], Rel. int.
3.471, 63
3.039, 70
2.894, 100
2.637, 30
2.410, 21
2.336, 23
2.305, 35
1.949, 33
1.859, 18
1.836, 33

Entry 3:
Diffraction record for PmAg5S4. The powder XRD pattern is theoretical, not measured: it uses a crystal structure in Alexandria, relaxed with GGA-PBE and Cu Kα, 1.54184 Å.
Peak positions follow from Bragg's law for the DFT cell and can differ from measured ones.

Structural model:
```
data_PmAg5S4
_chemical_formula_sum 'Pm1 Ag5 S4'
_space_group_name_H-M_alt 'P 1'
_space_group_IT_number 1
_space_group_name_Hall 'P 1'
_cell_length_a 8.2888
_cell_length_b 8.2888
_cell_length_c 8.2888
_cell_angle_alpha 151.02
_cell_angle_beta 126.87
_cell_angle_gamma 61.65
loop_
_atom_site_label
_atom_site_type_symbol
_atom_site_fract_x
_atom_site_fract_y
_atom_site_fract_z
Pm1 Pm 0.0000 0.0000 0.0000
Ag1 Ag 0.0557 0.3215 0.7342
Ag2 Ag 0.4127 0.6785 0.7342
Ag3 Ag 0.5000 0.0000 0.5000
Ag4 Ag 0.5873 0.3215 0.2658
Ag5 Ag 0.9443 0.6785 0.2658
S1 S 0.2026 0.2026 0.0000
S2 S 0.2648 0.5000 0.7648
S3 S 0.7352 0.5000 0.2352
S4 S 0.7974 0.7974 0.0000
```

Top 10 peaks for 2θ = 10–90°, in order of rising 2θ:
d [Å], Rel. int.
3.288, 49
3.123, 85
2.713, 100
2.373, 33
2.074, 28
1.983, 73
1.853, 17
1.594, 21
1.561, 17
1.179, 19

Entry 4:
Diffraction record for SrPmAg2S4. The powder XRD pattern is theoretical, not measured: it uses a crystal structure in Alexandria, relaxed with GGA-PBE and Cu Kα, 1.54184 Å.
Peak positions follow from Bragg's law for the DFT cell and can differ from measured ones.

Structural model:
```
data_SrPmAg2S4
_chemical_formula_sum 'Sr2 Pm2 Ag4 S8'
_space_group_name_H-M_alt 'P 1'
_space_group_IT_number 1
_space_group_name_Hall 'P 1'
_cell_length_a 7.0460
_cell_length_b 7.0493
_cell_length_c 7.7699
_cell_angle_alpha 90.00
_cell_angle_beta 90.00
_cell_angle_gamma 90.00
loop_
_atom_site_label
_atom_site_type_symbol
_atom_site_fract_x
_atom_site_fract_y
_atom_site_fract_z
Sr1 Sr 0.0000 0.0000 0.0000
Sr2 Sr 0.5000 0.5000 0.5000
Pm1 Pm 0.0000 0.0000 0.5000
Pm2 Pm 0.5000 0.5000 0.0000
Ag1 Ag 0.0000 0.5000 0.2493
Ag2 Ag 0.0000 0.5000 0.7507
Ag3 Ag 0.5000 0.0000 0.2507
Ag4 Ag 0.5000 0.0000 0.7493
S1 S 0.2175 0.2174 0.7220
S2 S 0.2175 0.7826 0.2780
S3 S 0.2825 0.2826 0.2220
S4 S 0.2825 0.7174 0.7780
S5 S 0.7175 0.2826 0.7780
S6 S 0.7175 0.7174 0.2220
S7 S 0.7825 0.2174 0.2780
S8 S 0.7825 0.7826 0.7220
```

Top 10 peaks for 2θ = 10–90°, in order of rising 2θ:
d [Å], Rel. int.
3.524, 38
3.064, 100
2.492, 44
1.933, 57
1.762, 14
1.701, 12
1.532, 17
1.527, 10
1.302, 13
1.154, 12

Entry 5:
Diffraction record for PmAg2TeS2. The powder XRD pattern is theoretical, not measured: it uses a crystal structure in Alexandria, relaxed with GGA-PBE and Cu Kα, 1.54184 Å.
Peak positions follow from Bragg's law for the DFT cell and can differ from measured ones.

Structural model:
```
data_PmAg2TeS2
_chemical_formula_sum 'Pm2 Ag4 Te2 S4'
_space_group_name_H-M_alt 'P 1'
_space_group_IT_number 1
_space_group_name_Hall 'P 1'
_cell_length_a 7.1567
_cell_length_b 5.2263
_cell_length_c 8.0859
_cell_angle_alpha 90.00
_cell_angle_beta 97.38
_cell_angle_gamma 90.00
loop_
_atom_site_label
_atom_site_type_symbol
_atom_site_fract_x
_atom_site_fract_y
_atom_site_fract_z
Pm1 Pm 0.1224 0.2500 0.3579
Pm2 Pm 0.8776 0.7500 0.6421
Ag1 Ag 0.1132 0.2500 0.9359
Ag2 Ag 0.4883 0.2500 0.1312
Ag3 Ag 0.5117 0.7500 0.8688
Ag4 Ag 0.8868 0.7500 0.0641
Te1 Te 0.2811 0.7500 0.1440
Te2 Te 0.7189 0.2500 0.8560
S1 S 0.2173 0.5020 0.6550
S2 S 0.2173 0.9980 0.6550
S3 S 0.7827 0.0020 0.3450
S4 S 0.7827 0.4980 0.3450
```

Top 10 peaks for 2θ = 10–90°, in order of rising 2θ:
d [Å], Rel. int.
8.019, 78
5.005, 59
3.181, 64
3.020, 100
2.936, 80
2.614, 89
2.501, 48
2.338, 49
2.316, 38
2.155, 44

Entry 6:
Diffraction record for Pm4Ag5Sb7. The powder XRD pattern is theoretical, not measured: it uses a crystal structure in Alexandria, relaxed with GGA-PBE and Cu Kα, 1.54184 Å.
Peak positions follow from Bragg's law for the DFT cell and can differ from measured ones.

Structural model:
```
data_Pm4Ag5Sb7
_chemical_formula_sum 'Pm4 Ag5 Sb7'
_space_group_name_H-M_alt 'P 1'
_space_group_IT_number 1
_space_group_name_Hall 'P 1'
_cell_length_a 11.5804
_cell_length_b 11.5804
_cell_length_c 11.5804
_cell_angle_alpha 149.29
_cell_angle_beta 149.29
_cell_angle_gamma 43.98
loop_
_atom_site_label
_atom_site_type_symbol
_atom_site_fract_x
_atom_site_fract_y
_atom_site_fract_z
Pm1 Pm 0.1239 0.6383 0.0000
Pm2 Pm 0.3617 0.3617 0.4856
Pm3 Pm 0.6383 0.1239 0.0000
Pm4 Pm 0.8761 0.8761 0.5144
Ag1 Ag 0.2481 0.2481 0.0000
Ag2 Ag 0.2500 0.7500 0.5000
Ag3 Ag 0.5000 0.5000 0.0000
Ag4 Ag 0.7500 0.2500 0.5000
Ag5 Ag 0.7519 0.7519 0.0000
Sb1 Sb 0.0000 0.0000 0.0000
Sb2 Sb 0.0000 0.5000 0.5000
Sb3 Sb 0.0972 0.0972 0.5131
Sb4 Sb 0.4159 0.9028 0.0000
Sb5 Sb 0.5000 0.0000 0.5000
Sb6 Sb 0.5841 0.5841 0.4869
Sb7 Sb 0.9028 0.4159 0.0000
```

Top 10 peaks for 2θ = 10–90°, in order of rising 2θ:
d [Å], Rel. int.
3.373, 12
2.685, 15
2.662, 100
2.282, 8
2.168, 33
1.924, 8
1.687, 15
1.533, 11
1.331, 7
1.329, 22